Record 1
The following is a theoretical powder X-ray diffraction pattern of Yb6Sm. It was derived from a DFT-relaxed cell (PBE, Alexandria), using λ = 1.5418 Å (Cu Kα).
Peak positions follow from Bragg's law for the DFT cell and can differ from measured ones.

Atomic structure:
a = 8.645 Å, b = 8.645 Å, c = 8.645 Å
α = 90.00°, β = 90.00°, γ = 90.00°
Space group Im-3m (No. 229)
Unique sites:
1 Yb 0.000 0.250 0.500
2 Sm 0.000 0.000 0.000

The 12 most intense peaks (2θ = 10–90°), most intense first:
(2 1 1), d 3.529, I = 100
(3 2 1), d 2.311, I = 64
(2 2 2), d 2.496, I = 42
(2 0 0), d 4.323, I = 41
(4 0 0), d 2.161, I = 38
(1 1 0), d 6.113, I = 27
(4 4 0), d 1.528, I = 25
(6 1 1), d 1.402, I = 20
(5 2 1), d 1.578, I = 20
(4 2 0), d 1.933, I = 19
(6 2 2), d 1.303, I = 17
(3 3 2), d 1.843, I = 16



Record 2
The following is a theoretical powder X-ray diffraction pattern of Cs4HgGe3I12. It was derived from a DFT-relaxed cell (PBE, Alexandria), using λ = 1.5418 Å (Cu Kα).
Peak positions follow from Bragg's law for the DFT cell and can differ from measured ones.

Atomic structure:
a = 12.025 Å, b = 12.025 Å, c = 12.025 Å
α = 90.00°, β = 90.00°, γ = 90.00°
Space group Im-3m (No. 229)
Unique sites:
1 Cs 0.250 0.250 0.250
2 Hg 0.000 0.000 0.000
3 Ge 0.000 0.000 0.500
4 I 0.000 0.000 0.254
5 I 0.000 0.250 0.500

The 12 most intense peaks (2θ = 10–90°), most intense first:
(4 0 0), d 3.006, I = 100
(2 2 2), d 3.471, I = 83
(4 4 0), d 2.126, I = 74
(6 2 2), d 1.813, I = 38
(8 4 0), d 1.344, I = 34
(4 4 4), d 1.736, I = 26
(8 4 4), d 1.227, I = 25
(2 2 0), d 4.252, I = 16
(6 6 2), d 1.379, I = 15
(2 0 0), d 6.013, I = 15
(8 0 0), d 1.503, I = 12
(10 2 2), d 1.157, I = 12



Record 3
The following is a theoretical powder X-ray diffraction pattern of SrCoNiAs2. It was derived from a DFT-relaxed cell (PBE, Alexandria), using λ = 1.5418 Å (Cu Kα).
Peak positions follow from Bragg's law for the DFT cell and can differ from measured ones.

Atomic structure:
a = 4.029 Å, b = 4.029 Å, c = 11.410 Å
α = 90.00°, β = 90.00°, γ = 90.00°
Space group I-4m2 (No. 119)
Unique sites:
1 Sr 0.000 0.000 0.000
2 Co 0.000 0.500 0.750
3 Ni 0.000 0.500 0.250
4 As 0.000 0.000 0.356

The 12 most intense peaks (2θ = 10–90°), most intense first:
(1 0 3), d 2.766, I = 100
(2 0 0), d 2.015, I = 75
(1 1 2), d 2.549, I = 49
(2 1 3), d 1.628, I = 40
(1 1 6), d 1.582, I = 34
(2 2 0), d 1.425, I = 22
(2 0 8), d 1.164, I = 18
(0 0 2), d 5.705, I = 17
(1 1 0), d 2.850, I = 17
(1 0 5), d 1.986, I = 10
(3 1 2), d 1.244, I = 9
(3 0 3), d 1.266, I = 9